Starting from a crystal structure in Alexandria, relaxed with PBE+U, the powder diffractogram of CdCoSe2O8 was computed for Cu Kα (weighted mean of Kα1 and Kα2).
Intensities are scaled so that the largest is 100.

a b c (Å): 5.4608 5.4608 6.5458
angles (deg): 90.00 90.00 120.00
Space group P-3m1 (No. 164)
One atom of each set of equivalent atoms:
Cd (0.0000, 0.0000, 0.0000) (multiplicity 1)
Co (0.0000, 0.0000, 0.5000) (multiplicity 1)
Se (0.3333, 0.6667, 0.2072) (multiplicity 2)
O (0.1634, 0.3267, 0.2866) (multiplicity 6)
O (0.3333, 0.6667, 0.9566) (multiplicity 2)

Peak list (10 most intense, 10° ≤ 2θ ≤ 80°, low angle first)
13.53 deg, intensity 26, hkl 0 0 1
18.76 deg, intensity 35, hkl 1 0 0
23.20 deg, intensity 100, hkl 0 1 1
32.80 deg, intensity 98, hkl 1 1 0
33.29 deg, intensity 79, hkl 0 1 2
35.63 deg, intensity 25, hkl 1 1 1
45.80 deg, intensity 20, hkl 1 0 3
47.43 deg, intensity 49, hkl 2 0 2
53.11 deg, intensity 20, hkl 1 2 1
58.87 deg, intensity 32, hkl 1 2 2